Entry 1:
The following is a theoretical powder diffractogram of Tb2SmDy2Sc2. It was derived from a cell relaxed with PBE, using Cu Ka.
Intensities are scaled so that the largest is 100.

Structure:
```
Tb2SmDy2Sc2
1.0
8.624 -1.708 0.000
8.624 1.708 0.000
-3.839 0.000 7.298
Tb Sm Dy Sc
2 1 2 2
Direct
0.150 0.150 0.395
0.850 0.850 0.605
0.500 0.500 0.500
0.076 0.076 0.914
0.924 0.924 0.086
0.288 0.288 0.198
0.712 0.712 0.802
```

The 12 most intense peaks (2θ = 5–70°), most intense first:
2.850 Å, intensity 100; 2.588 Å, intensity 91; 2.820 Å, intensity 88; 2.698 Å, intensity 75; 2.438 Å, intensity 66; 3.156 Å, intensity 58; 1.674 Å, intensity 38; 3.334 Å, intensity 36; 1.629 Å, intensity 33; 7.632 Å, intensity 32; 2.836 Å, intensity 31; 2.276 Å, intensity 31

=====

Entry 2:
The following is a theoretical powder diffractogram of AcDy4Er2Tm. It was derived from a cell relaxed with PBE, using Cu Ka.
Intensities are scaled so that the largest is 100.

Structure:
```
AcDy4Er2Tm
1.0
5.043 0.000 0.000
0.000 5.069 0.000
0.000 0.000 10.157
Ac Dy Er Tm
1 4 2 1
Direct
0.000 0.000 0.000
0.000 0.500 0.259
0.000 0.500 0.741
0.500 0.000 0.260
0.500 0.000 0.740
0.000 0.000 0.500
0.500 0.500 0.000
0.500 0.500 0.500
```

The 12 most intense peaks (2θ = 5–70°), most intense first:
2.923 Å, intensity 100; 2.537 Å, intensity 34; 1.529 Å, intensity 28; 1.788 Å, intensity 24; 2.522 Å, intensity 17; 1.522 Å, intensity 14; 1.462 Å, intensity 12; 1.794 Å, intensity 12; 1.766 Å, intensity 1; 3.372 Å, intensity 1; 3.386 Å, intensity 1; 3.579 Å, intensity 1

=====

Entry 3:
The following is a theoretical powder diffractogram of Sc6Cd3Tc. It was derived from a cell relaxed with PBE, using Cu Ka.
Intensities are scaled so that the largest is 100.

Structure:
```
Sc6Cd3Tc
1.0
8.571 0.000 0.000
0.000 4.974 0.000
-3.348 0.000 10.141
Sc Cd Tc
12 6 2
Direct
0.037 0.250 0.414
0.192 0.750 0.171
0.285 0.250 0.009
0.351 0.750 0.828
0.375 0.250 0.332
0.400 0.250 0.642
0.600 0.750 0.358
0.625 0.750 0.668
0.649 0.250 0.172
0.715 0.750 0.991
0.808 0.250 0.829
0.963 0.750 0.586
0.017 0.750 0.877
0.101 0.250 0.722
0.273 0.750 0.475
0.727 0.250 0.525
0.899 0.750 0.278
0.983 0.250 0.123
0.462 0.750 0.099
0.538 0.250 0.901
```

The 12 most intense peaks (2θ = 5–70°), most intense first:
2.456 Å, intensity 100; 2.475 Å, intensity 74; 2.487 Å, intensity 62; 3.552 Å, intensity 47; 2.538 Å, intensity 32; 2.261 Å, intensity 21; 1.776 Å, intensity 21; 2.428 Å, intensity 19; 1.430 Å, intensity 17; 3.424 Å, intensity 16; 1.411 Å, intensity 15; 1.434 Å, intensity 12

=====

Entry 4:
The following is a theoretical powder diffractogram of Sr2Hf3O8. It was derived from a cell relaxed with PBE, using Cu Ka.
Intensities are scaled so that the largest is 100.

Structure:
```
Sr2Hf3O8
1.0
5.975 -3.270 0.000
5.975 3.270 0.000
-1.935 0.000 5.126
Sr Hf O
2 3 8
Direct
0.220 0.220 0.160
0.780 0.780 0.840
0.237 0.763 0.500
0.500 0.500 0.000
0.763 0.237 0.500
0.102 0.102 0.454
0.181 0.614 0.109
0.386 0.819 0.891
0.404 0.404 0.594
0.596 0.596 0.406
0.614 0.181 0.109
0.819 0.386 0.891
0.898 0.898 0.546
```

The 12 most intense peaks (2θ = 5–70°), most intense first:
5.590 Å, intensity 100; 2.757 Å, intensity 56; 2.683 Å, intensity 54; 3.497 Å, intensity 48; 3.220 Å, intensity 45; 2.181 Å, intensity 41; 1.799 Å, intensity 34; 2.795 Å, intensity 33; 1.592 Å, intensity 33; 2.723 Å, intensity 33; 2.822 Å, intensity 25; 1.701 Å, intensity 23